Entry 1:
Theoretical XRD peak list of Ba2PrNbO6 for Cu Kα, 1.54184 Å, from a crystal structure in the Materials Project, relaxed with PBE.

Crystal structure
Lattice parameters (Å, degrees): 8.7327 8.7327 8.7327 90.00 90.00 90.00
Fractional positions:
1 Ba 0.2500 0.2500 0.2500
2 Ba 0.2500 0.2500 0.7500
3 Ba 0.2500 0.7500 0.2500
4 Ba 0.2500 0.7500 0.7500
5 Ba 0.7500 0.2500 0.2500
6 Ba 0.7500 0.2500 0.7500
7 Ba 0.7500 0.7500 0.2500
8 Ba 0.7500 0.7500 0.7500
9 Pr 0.0000 0.0000 0.0000
10 Pr 0.0000 0.5000 0.5000
11 Pr 0.5000 0.0000 0.5000
12 Pr 0.5000 0.5000 0.0000
13 Nb 0.0000 0.0000 0.5000
14 Nb 0.0000 0.5000 0.0000
15 Nb 0.5000 0.0000 0.0000
16 Nb 0.5000 0.5000 0.5000
17 O 0.0242 0.5276 0.7701
18 O 0.0242 0.9724 0.7299
19 O 0.0276 0.2299 0.5242
20 O 0.0276 0.2701 0.9758
21 O 0.2299 0.5242 0.0276
22 O 0.2299 0.9758 0.4724
23 O 0.2701 0.5242 0.4724
24 O 0.2701 0.9758 0.0276
25 O 0.4724 0.2299 0.9758
26 O 0.4724 0.2701 0.5242
27 O 0.4758 0.5276 0.7299
28 O 0.4758 0.9724 0.7701
29 O 0.5242 0.0276 0.2299
30 O 0.5242 0.4724 0.2701
31 O 0.5276 0.7299 0.4758
32 O 0.5276 0.7701 0.0242
33 O 0.7299 0.0242 0.9724
34 O 0.7299 0.4758 0.5276
35 O 0.7701 0.0242 0.5276
36 O 0.7701 0.4758 0.9724
37 O 0.9724 0.7299 0.0242
38 O 0.9724 0.7701 0.4758
39 O 0.9758 0.0276 0.2701
40 O 0.9758 0.4724 0.2299

Principal peaks in the range 2θ from 15° to 90°, by intensity:
2theta, Rel. int.
28.9, 100
51.3, 42
41.4, 29
82.7, 22
67.9, 18
59.9, 18
75.4, 6
89.9, 3
35.6, 2
34.1, 2

---

Entry 2:
Theoretical XRD peak list of Ba2PrNbO6 for Cu Kα, 1.54184 Å, from a crystal structure in the Materials Project, relaxed with PBE.

Crystal structure
Lattice parameters (Å, degrees): 6.1332 6.1332 6.1332 60.59 60.59 60.59
Fractional positions:
1 Ba 0.2492 0.2492 0.2492
2 Ba 0.7508 0.7508 0.7508
3 Pr 0.5000 0.5000 0.5000
4 Nb 0.0000 0.0000 0.0000
5 O 0.1723 0.7740 0.2876
6 O 0.2260 0.7124 0.8277
7 O 0.2876 0.1723 0.7740
8 O 0.7124 0.8277 0.2260
9 O 0.7740 0.2877 0.1723
10 O 0.8277 0.2260 0.7124

Principal peaks in the range 2θ from 15° to 90°, by intensity:
2theta, Rel. int.
29.1, 100
28.9, 99
41.5, 57
51.3, 42
51.1, 23
51.8, 20
68.3, 19
67.9, 18
60.4, 18
59.8, 17

---

Entry 3:
Theoretical XRD peak list of Ba2PrNbO6 for Cu Kα, 1.54184 Å, from a crystal structure in the Materials Project, relaxed with PBE.

Crystal structure
Lattice parameters (Å, degrees): 6.1816 6.1547 10.6314 90.00 125.16 90.00
Fractional positions:
1 Ba 0.2433 0.0151 0.2489
2 Ba 0.2433 0.4849 0.7489
3 Ba 0.7567 0.5151 0.2511
4 Ba 0.7567 0.9849 0.7511
5 Pr 0.5000 0.0000 0.0000
6 Pr 0.5000 0.5000 0.5000
7 Nb 0.0000 0.0000 0.5000
8 Nb 0.0000 0.5000 0.0000
9 O 0.1737 0.2486 0.9644
10 O 0.1737 0.2514 0.4644
11 O 0.2132 0.7127 0.9656
12 O 0.2132 0.7873 0.4656
13 O 0.2944 0.0096 0.7293
14 O 0.2944 0.4904 0.2293
15 O 0.7056 0.5096 0.7707
16 O 0.7056 0.9904 0.2707
17 O 0.7868 0.2127 0.5344
18 O 0.7868 0.2873 0.0344
19 O 0.8263 0.7486 0.5356
20 O 0.8263 0.7514 0.0356

Principal peaks in the range 2θ from 15° to 90°, by intensity:
2theta, Rel. int.
28.9, 100
29.1, 100
51.4, 42
41.4, 38
51.2, 22
51.5, 21
41.6, 18
68.1, 18
59.9, 17
67.9, 12